The following is a theoretical X-ray diffraction stick pattern of Pr12DyTm5. It was derived from a cell relaxed with PBE, using Cu Kα (λ = 1.5418 Å).
Intensities are scaled so that the largest is 100.

Most intense lines, 10° ≤ 2θ ≤ 90°, by angle:
| two_theta | I (rel.) | h k l |
| --- | --- | --- |
| 30.02 | 100 | 3 1 0 |
| 34.68 | 34 | 0 2 0 |
| 35.03 | 17 | 3 0 3 |
| 49.86 | 12 | 3 2 -3 |
| 50.12 | 24 | 6 0 0 |
| 59.30 | 29 | 3 3 0 |
| 59.77 | 14 | 6 1 3 |
| 62.38 | 12 | 6 2 0 |
| 81.06 | 6 | 6 3 -3 |
| 81.45 | 9 | 6 3 3 |

Atomic structure:
```
Pr12DyTm5
1.0
10.911 0.000 0.000
0.000 5.174 0.000
-0.106 0.000 10.928
Pr Dy Tm
12 1 5
direct
0.002 0.000 0.169 Pr
0.165 0.500 0.665 Pr
0.169 0.500 0.003 Pr
0.331 0.000 0.498 Pr
0.337 0.000 0.836 Pr
0.497 0.500 0.331 Pr
0.503 0.500 0.669 Pr
0.663 0.000 0.164 Pr
0.669 0.000 0.502 Pr
0.831 0.500 0.997 Pr
0.835 0.500 0.335 Pr
0.998 0.000 0.831 Pr
0.000 0.000 0.500 Dy
0.167 0.500 0.333 Tm
0.333 0.000 0.167 Tm
0.500 0.500 0.000 Tm
0.667 0.000 0.833 Tm
0.833 0.500 0.667 Tm
```